# CdIn2HgI4
Computed PXRD pattern, a wavelength of 1.5418 Å. Input: a GGA-PBE-relaxed structure.

Top 8 peaks for 2θ = 10–90°, in order of falling intensity:
| index | 2θ/deg | I/Imax |
| --- | --- | --- |
| 3 1 -1 | 26.8 | 100 |
| 0 2 0 | 39.5 | 41 |
| 3 1 -5 | 49.4 | 39 |
| 2 0 2 | 28.6 | 38 |
| 1 1 -3 | 33.7 | 36 |
| 1 1 2 | 30.7 | 24 |
| 3 1 -2 | 28.9 | 23 |
| 3 1 0 | 28.3 | 19 |

Atomic structure:
a b c (Å): 14.5365 4.5701 10.0932
angles (deg): 90.00 116.31 90.00
Space group C2/m (No. 12)
Unique sites:
Cd1 0.0000 0.0000 0.0000
In1 0.1866 0.0000 0.7065
Hg1 0.0000 0.5000 0.5000
I1 0.1192 0.5000 0.9397
I2 0.1538 0.0000 0.3136